[1]
# VH6Cl12
Calculated powder X-ray diffraction pattern, Cu Kα (λ = 1.5418 Å). Input: a crystal structure in Alexandria, relaxed with GGA-PBE.

Principal peaks in the range 10 to 90 degrees two-theta, by angle:
Position (°2θ)	I_rel	hkl
11.64	38.1	1 1 0
12.97	80.0	1 0 1
17.47	23.3	0 2 1
21.04	24.1	3 -1 1
26.12	27.8	2 0 2
26.85	100.0	4 -3 1
33.26	37.5	3 1 2
39.76	26.3	5 1 1

Atomic structure:
```
data_VH6Cl12
_cell_length_a 15.2014
_cell_length_b 15.2014
_cell_length_c 7.9787
_cell_angle_alpha 90.00
_cell_angle_beta 90.00
_cell_angle_gamma 120.00
_space_group_name_H-M_alt 'R -3'
_space_group_IT_number 148
_space_group_name_Hall '-R 3'
loop_
_atom_site_label
_atom_site_type_symbol
_atom_site_fract_x
_atom_site_fract_y
_atom_site_fract_z
V1 V 0.0000 0.0000 0.0000
H1 H 0.0565 0.4607 0.6566
Cl1 Cl 0.0008 0.1219 0.8346
Cl2 Cl 0.0199 0.5638 0.2440
```



[2]
# VHCl
Calculated powder X-ray diffraction pattern, Cu Kα (λ = 1.5418 Å). Input: a crystal structure in Alexandria, relaxed with GGA-PBE.

Principal peaks in the range 10 to 90 degrees two-theta, by angle:
Position (°2θ)	I_rel	hkl
30.19	100.0	0 1 1
31.22	15.0	1 0 1
31.70	16.0	1 0 -2
41.18	39.4	2 0 -1
51.70	18.7	2 1 0
52.12	19.1	2 1 -2
52.60	19.2	1 1 2
53.11	15.9	1 1 -3

Atomic structure:
```
data_VHCl
_cell_length_a 4.384
_cell_length_b 3.487
_cell_length_c 5.988
_cell_angle_alpha 90.00
_cell_angle_beta 110.62
_cell_angle_gamma 90.00
_space_group_name_H-M_alt 'P 1 21/m 1'
_space_group_IT_number 11
loop_
_space_group_symop_operation_xyz
'x,y,z'
'-x,-y,-z'
'-x,y+1/2,-z'
'x,-y+1/2,z'
loop_
_atom_site_label
_atom_site_type_symbol
_atom_site_fract_x
_atom_site_fract_y
_atom_site_fract_z
V1 V 0.077 0.250 0.150
H1 H 0.180 0.750 0.139
Cl1 Cl 0.340 0.750 0.691
```



[3]
# H12WCl6
Calculated powder X-ray diffraction pattern, Cu Kα (λ = 1.5418 Å). Input: a crystal structure in Alexandria, relaxed with GGA-PBE.

Principal peaks in the range 10 to 90 degrees two-theta, by angle:
Position (°2θ)	I_rel	hkl
12.37	100.0	1 0 1
15.81	46.0	0 1 2
19.09	15.1	1 1 0
22.81	15.8	0 2 1
25.69	15.8	1 1 3
31.55	16.8	1 2 2
31.93	14.8	0 2 4
37.70	12.0	0 3 3

Atomic structure:
```
data_H12WCl6
_cell_length_a 9.2991
_cell_length_b 9.2991
_cell_length_c 15.6185
_cell_angle_alpha 90.00
_cell_angle_beta 90.00
_cell_angle_gamma 120.00
_space_group_name_H-M_alt 'R 3'
_space_group_IT_number 146
_space_group_name_Hall 'R 3'
loop_
_atom_site_label
_atom_site_type_symbol
_atom_site_fract_x
_atom_site_fract_y
_atom_site_fract_z
H1 H 0.0276 0.9599 0.0000
H2 H 0.0674 0.0274 0.6291
H3 H 0.1590 0.7614 0.1683
H4 H 0.1739 0.4181 0.1536
W1 W 0.0000 0.0000 0.8151
Cl1 Cl 0.0962 0.8604 0.9085
Cl2 Cl 0.1933 0.4314 0.3886
```